1.
Theoretical PXRD pattern
Compound: Sr4GeN4
Radiation: Cu Kα, 1.54184 Å
Structure: a PBE-relaxed structure
Kinematic intensities with the Lorentz-polarization factor, no thermal factor.

Largest 8 diffraction maxima, by angle, 5 to 70 degrees two-theta:
| 2theta | I_rel |
| --- | --- |
| 24.14 | 48.9 |
| 30.09 | 36.7 |
| 30.66 | 100.0 |
| 31.59 | 32.5 |
| 32.34 | 38.2 |
| 34.10 | 33.7 |
| 34.69 | 36.7 |
| 47.66 | 27.2 |

Structure:
Cell lengths 6.133, 11.909, 9.944 Å; angles 90.00, 90.00, 90.00 degrees
Space group Pnna (No. 52)
Asymmetric unit:
1 Sr 0.118 0.126 0.104 [8 per cell]
2 Sr 0.148 0.250 0.750 [4 per cell]
3 Sr 0.250 0.000 0.430 [4 per cell]
4 Ge 0.250 0.000 0.747 [4 per cell]
5 N 0.017 0.072 0.854 [8 per cell]
6 N 0.096 0.612 0.856 [8 per cell]

---

2.
Theoretical PXRD pattern
Compound: AlMo4S8
Radiation: Cu Kα, 1.54184 Å
Structure: a PBE-relaxed structure
Kinematic intensities with the Lorentz-polarization factor, no thermal factor.

Largest 8 diffraction maxima, by angle, 5 to 70 degrees two-theta:
| 2theta | I_rel |
| --- | --- |
| 15.58 | 100.0 |
| 15.79 | 35.4 |
| 30.16 | 32.7 |
| 36.61 | 98.8 |
| 45.16 | 22.6 |
| 47.98 | 24.6 |
| 52.44 | 33.1 |
| 53.03 | 29.5 |

Structure:
Cell lengths 6.9796, 6.9796, 16.8325 Å; angles 90.00, 90.00, 120.00 degrees
Space group R3m (No. 160, hexagonal axes)
Asymmetric unit:
1 Al 0.0000 0.0000 0.0000 [3 per cell]
2 Mo 0.0000 0.0000 0.5976 [3 per cell]
3 Mo 0.0574 0.5287 0.1318 [9 per cell]
4 S 0.0000 0.0000 0.3673 [3 per cell]
5 S 0.0000 0.0000 0.8641 [3 per cell]
6 S 0.0261 0.5130 0.8752 [9 per cell]
7 S 0.0267 0.5134 0.3758 [9 per cell]